This entry pairs a crystal structure of TaBe10Ni with its computed X-ray powder pattern. Radiation: λ = 1.5418 Å (Cu Kα). Structure: a GGA-PBE-relaxed structure.
Lines closer than 0.1° are merged.

Peak list (6 most intense, 5 to 70 degrees two-theta, most intense first)
- 2θ = 24.2°, I = 100
- 2θ = 35.7°, I = 94
- 2θ = 11.9°, I = 61
- 2θ = 23.9°, I = 50
- 2θ = 25.8°, I = 48
- 2θ = 35.4°, I = 47

Crystal structure
```
data_TaBe10Ni
_cell_length_a 3.452
_cell_length_b 4.227
_cell_length_c 7.460
_cell_angle_alpha 90.00
_cell_angle_beta 90.00
_cell_angle_gamma 90.00
_symmetry_space_group_name_H-M 'P m m m'
_symmetry_Int_Tables_number 47
loop_
_symmetry_equiv_pos_as_xyz
'x,y,z'
'-x,-y,-z'
'-x,-y,z'
'x,y,-z'
'x,-y,-z'
'-x,y,z'
'-x,y,-z'
'x,-y,z'
loop_
_atom_site_label
_atom_site_type_symbol
_atom_site_fract_x
_atom_site_fract_y
_atom_site_fract_z
Ta1 Ta 0.000 0.000 0.000
Be1 Be 0.000 0.000 0.344
Be2 Be 0.000 0.500 0.190
Be3 Be 0.500 0.000 0.500
Be4 Be 0.500 0.242 0.249
Be5 Be 0.500 0.500 0.000
Ni1 Ni 0.000 0.500 0.500
```